Diffraction record for HoAlRh. The XRD peak list is theoretical, not measured: it uses a cell relaxed with GGA-PBE and λ = 1.5418 Å (Cu Kα).
Kinematic intensities with the Lorentz-polarization factor, no thermal factor.

Crystal structure
Unit cell a=6.873 b=4.228 c=7.952 alpha=90.00 beta=90.00 gamma=90.00
Sites, in units of the cell vectors:
Ho (0.031, 0.250, 0.180)
Ho (0.469, 0.750, 0.680)
Ho (0.531, 0.250, 0.320)
Ho (0.969, 0.750, 0.820)
Al (0.140, 0.250, 0.560)
Al (0.360, 0.750, 0.060)
Al (0.640, 0.250, 0.940)
Al (0.860, 0.750, 0.440)
Rh (0.233, 0.750, 0.379)
Rh (0.267, 0.250, 0.879)
Rh (0.733, 0.750, 0.121)
Rh (0.767, 0.250, 0.621)

Peak list (10 most intense, 2θ = 15–90°, by angle)
27.2°, intensity 23, (1 1 1); 33.6°, intensity 62, (1 1 2); 35.5°, intensity 100, (2 1 1); 36.3°, intensity 26, (1 0 3); 40.2°, intensity 17, (0 1 3); 42.3°, intensity 16, (1 1 3); 42.8°, intensity 30, (0 2 0); 45.7°, intensity 23, (3 0 2); 52.6°, intensity 14, (1 1 4); 64.4°, intensity 16, (3 2 2)


Diffraction record for K3TmP2O8. The XRD peak list is theoretical, not measured: it uses a cell relaxed with GGA-PBE and λ = 1.5418 Å (Cu Kα).
Kinematic intensities with the Lorentz-polarization factor, no thermal factor.

Crystal structure
Unit cell a=7.453 b=5.652 c=9.385 alpha=90.00 beta=90.99 gamma=90.00
Sites, in units of the cell vectors:
K (0.003, 0.250, 0.193)
K (0.137, 0.750, 0.413)
K (0.294, 0.250, 0.919)
K (0.706, 0.750, 0.081)
K (0.863, 0.250, 0.587)
K (0.997, 0.750, 0.807)
Tm (0.492, 0.750, 0.713)
Tm (0.508, 0.250, 0.287)
P (0.274, 0.750, 0.091)
P (0.316, 0.250, 0.572)
P (0.684, 0.750, 0.428)
P (0.726, 0.250, 0.909)
O (0.068, 0.750, 0.103)
O (0.212, 0.250, 0.426)
O (0.267, 0.025, 0.660)
O (0.267, 0.475, 0.660)
O (0.331, 0.750, 0.932)
O (0.352, 0.525, 0.167)
O (0.352, 0.975, 0.167)
O (0.483, 0.750, 0.466)
O (0.517, 0.250, 0.534)
O (0.648, 0.025, 0.833)
O (0.648, 0.475, 0.833)
O (0.669, 0.250, 0.068)
O (0.733, 0.525, 0.340)
O (0.733, 0.975, 0.340)
O (0.788, 0.750, 0.574)
O (0.932, 0.250, 0.897)

Peak list (10 most intense, 2θ = 15–90°, by angle)
18.3°, intensity 44, (0 1 1); 21.8°, intensity 20, (1 1 -1); 22.0°, intensity 51, (1 1 1); 22.2°, intensity 21, (1 0 -2); 30.1°, intensity 36, (2 1 -1); 30.4°, intensity 100, (2 0 -2); 31.7°, intensity 53, (0 2 0); 32.7°, intensity 61, (0 1 3); 40.1°, intensity 20, (1 0 -4); 44.8°, intensity 23, (2 2 2)


Diffraction record for Cu6GeWS8. The XRD peak list is theoretical, not measured: it uses a cell relaxed with GGA-PBE and λ = 1.5418 Å (Cu Kα).
Kinematic intensities with the Lorentz-polarization factor, no thermal factor.

Crystal structure
Unit cell a=7.570 b=7.570 c=12.449 alpha=90.00 beta=90.00 gamma=120.00
Sites, in units of the cell vectors:
Cu (0.007, 0.504, 0.000)
Cu (0.161, 0.322, 0.751)
Cu (0.161, 0.839, 0.751)
Cu (0.322, 0.161, 0.251)
Cu (0.496, 0.504, 0.000)
Cu (0.496, 0.993, 0.000)
Cu (0.504, 0.007, 0.500)
Cu (0.504, 0.496, 0.500)
Cu (0.678, 0.839, 0.751)
Cu (0.839, 0.161, 0.251)
Cu (0.839, 0.678, 0.251)
Cu (0.993, 0.496, 0.500)
Ge (0.000, 0.000, 0.498)
Ge (0.000, 0.000, 0.998)
W (0.333, 0.667, 0.628)
W (0.667, 0.333, 0.128)
S (0.000, 0.000, 0.180)
S (0.000, 0.000, 0.680)
S (0.007, 0.503, 0.687)
S (0.165, 0.330, 0.936)
S (0.165, 0.835, 0.936)
S (0.330, 0.165, 0.436)
S (0.333, 0.667, 0.446)
S (0.497, 0.503, 0.687)
S (0.497, 0.993, 0.687)
S (0.503, 0.007, 0.187)
S (0.503, 0.497, 0.187)
S (0.667, 0.333, 0.946)
S (0.670, 0.835, 0.936)
S (0.835, 0.165, 0.436)
S (0.835, 0.670, 0.436)
S (0.993, 0.497, 0.187)

Peak list (10 most intense, 2θ = 15–90°, by angle)
15.3°, intensity 100, (1 0 1); 27.6°, intensity 24, (1 1 2); 28.2°, intensity 36, (2 0 1); 28.7°, intensity 16, (0 0 4); 30.8°, intensity 30, (2 0 2); 37.0°, intensity 26, (2 1 1); 39.9°, intensity 17, (2 0 4); 45.8°, intensity 27, (2 0 5); 48.1°, intensity 55, (2 2 0); 52.2°, intensity 31, (2 0 6)


Diffraction record for BaLaI5. The XRD peak list is theoretical, not measured: it uses a cell relaxed with GGA-PBE and λ = 1.5418 Å (Cu Kα).
Kinematic intensities with the Lorentz-polarization factor, no thermal factor.

Crystal structure
Unit cell a=8.552 b=27.082 c=14.721 alpha=90.00 beta=125.41 gamma=90.00
Sites, in units of the cell vectors:
Ba (0.138, 0.024, 0.260)
Ba (0.138, 0.476, 0.760)
Ba (0.160, 0.742, 0.999)
Ba (0.160, 0.758, 0.499)
Ba (0.840, 0.242, 0.501)
Ba (0.840, 0.258, 0.001)
Ba (0.862, 0.524, 0.240)
Ba (0.862, 0.976, 0.740)
La (0.216, 0.126, 0.950)
La (0.216, 0.374, 0.450)
La (0.349, 0.115, 0.609)
La (0.349, 0.385, 0.109)
La (0.651, 0.615, 0.891)
La (0.651, 0.885, 0.391)
La (0.784, 0.626, 0.550)
La (0.784, 0.874, 0.050)
I (0.011, 0.229, 0.843)
I (0.011, 0.271, 0.343)
I (0.053, 0.617, 0.117)
I (0.053, 0.883, 0.617)
I (0.135, 0.077, 0.724)
I (0.135, 0.423, 0.224)
I (0.195, 0.138, 0.156)
I (0.195, 0.362, 0.656)
I (0.231, 0.591, 0.675)
I (0.231, 0.909, 0.175)
I (0.267, 0.013, 0.008)
I (0.267, 0.487, 0.508)
I (0.340, 0.217, 0.707)
I (0.340, 0.283, 0.207)
I (0.351, 0.000, 0.565)
I (0.351, 0.500, 0.065)
I (0.369, 0.663, 0.448)
I (0.369, 0.837, 0.948)
I (0.447, 0.651, 0.000)
I (0.447, 0.849, 0.500)
I (0.553, 0.151, 0.500)
I (0.553, 0.349, 0.000)
I (0.631, 0.163, 0.052)
I (0.631, 0.337, 0.552)
I (0.649, 0.000, 0.435)
I (0.649, 0.500, 0.935)
I (0.660, 0.717, 0.793)
I (0.660, 0.783, 0.293)
I (0.733, 0.513, 0.492)
I (0.733, 0.987, 0.992)
I (0.769, 0.091, 0.825)
I (0.769, 0.409, 0.325)
I (0.805, 0.638, 0.344)
I (0.805, 0.862, 0.844)
I (0.865, 0.577, 0.776)
I (0.865, 0.923, 0.276)
I (0.947, 0.117, 0.383)
I (0.947, 0.383, 0.883)
I (0.989, 0.729, 0.657)
I (0.989, 0.771, 0.157)

Peak list (10 most intense, 2θ = 15–90°, by angle)
16.1°, intensity 53, (1 3 0); 23.5°, intensity 60, (1 6 0); 24.6°, intensity 100, (1 0 2); 24.7°, intensity 79, (1 1 2); 26.3°, intensity 67, (0 8 0); 26.5°, intensity 44, (1 3 -4); 27.4°, intensity 68, (0 8 1); 27.5°, intensity 52, (2 3 -4); 27.6°, intensity 48, (2 5 -3); 27.9°, intensity 45, (1 4 -4)